KCrF3: calculated powder X-ray diffraction pattern (Cu Kα (λ = 1.5418 Å)), based on a crystal structure in the Materials Project, relaxed with PBE+U.

Top 10 peaks for 10 to 90 degrees two-theta, by intensity:
2θ (°), d/Å, intensity, hkl
29.92, 2.986, 100, 1 1 2
41.66, 2.168, 76, 2 2 0
29.12, 3.066, 55, 2 0 0
62.18, 1.493, 38, 2 2 4
52.13, 1.754, 36, 3 1 2
43.98, 2.059, 33, 0 0 4
20.48, 4.336, 27, 1 1 0
60.38, 1.533, 20, 4 0 0
36.54, 2.459, 20, 2 0 2
53.62, 1.709, 17, 2 0 4

Atomic structure:
```
data_KCrF3
_symmetry_space_group_name_H-M 'I 4/m c m'
_symmetry_Int_Tables_number 140
_symmetry_space_group_name_Hall '-I 4 2c'
_cell_length_a 6.1326
_cell_length_b 6.1326
_cell_length_c 8.2356
_cell_angle_alpha 90.00
_cell_angle_beta 90.00
_cell_angle_gamma 90.00
loop_
_atom_site_label
_atom_site_fract_x
_atom_site_fract_y
_atom_site_fract_z
_atom_site_occupancy
K1 0.0000 0.0000 0.2500 1
Cr1 0.0000 0.5000 0.0000 1
F1 0.0000 0.5000 0.2500 1
F2 0.2327 0.2673 0.0000 1
```

---

K3CrF3: calculated powder X-ray diffraction pattern (Cu Kα (λ = 1.5418 Å)), based on a crystal structure in the Materials Project, relaxed with PBE+U.

Top 10 peaks for 10 to 90 degrees two-theta, by intensity:
2θ (°), d/Å, intensity, hkl
29.29, 3.049, 100, 0 1 1
31.26, 2.861, 95, -2 1 1
29.94, 2.985, 63, 1 -2 0
29.50, 3.028, 62, 1 0 -2
38.96, 2.312, 57, 0 2 -2
40.75, 2.214, 51, 2 0 0
27.83, 3.206, 44, 1 1 -1
27.97, 3.190, 44, 1 -1 1
45.87, 1.978, 31, -2 2 2
22.47, 3.957, 25, -1 1 1

Atomic structure:
```
data_K3CrF3
_symmetry_space_group_name_H-M 'P 1'
_symmetry_Int_Tables_number 1
_cell_length_a 5.7593
_cell_length_b 6.0482
_cell_length_c 6.1345
_cell_angle_alpha 98.78
_cell_angle_beta 115.03
_cell_angle_gamma 114.16
loop_
_symmetry_equiv_pos_as_xyz
'x,y,z'
loop_
_atom_site_label
_atom_site_fract_x
_atom_site_fract_y
_atom_site_fract_z
_atom_site_occupancy
K1 0.0000 0.0000 0.0000 1
K2 0.0018 0.5015 0.4884 1
K3 0.5049 0.7608 0.2492 1
Cr1 0.5403 0.2892 0.7757 1
F1 0.0659 0.0039 0.4613 1
F2 0.5097 0.0638 0.9849 1
F3 0.5474 0.5176 0.5676 1
```

---

What did the second record say?
K3CrF3: calculated powder X-ray diffraction pattern (Cu Kα (λ = 1.5418 Å)), based on a crystal structure in the Materials Project, relaxed with PBE+U.

Top 10 peaks for 10 to 90 degrees two-theta, by intensity:
2θ (°), d/Å, intensity, hkl
29.29, 3.049, 100, 0 1 1
31.26, 2.861, 95, -2 1 1
29.94, 2.985, 63, 1 -2 0
29.50, 3.028, 62, 1 0 -2
38.96, 2.312, 57, 0 2 -2
40.75, 2.214, 51, 2 0 0
27.83, 3.206, 44, 1 1 -1
27.97, 3.190, 44, 1 -1 1
45.87, 1.978, 31, -2 2 2
22.47, 3.957, 25, -1 1 1

Atomic structure:
```
data_K3CrF3
_symmetry_space_group_name_H-M 'P 1'
_symmetry_Int_Tables_number 1
_cell_length_a 5.7593
_cell_length_b 6.0482
_cell_length_c 6.1345
_cell_angle_alpha 98.78
_cell_angle_beta 115.03
_cell_angle_gamma 114.16
loop_
_symmetry_equiv_pos_as_xyz
'x,y,z'
loop_
_atom_site_label
_atom_site_fract_x
_atom_site_fract_y
_atom_site_fract_z
_atom_site_occupancy
K1 0.0000 0.0000 0.0000 1
K2 0.0018 0.5015 0.4884 1
K3 0.5049 0.7608 0.2492 1
Cr1 0.5403 0.2892 0.7757 1
F1 0.0659 0.0039 0.4613 1
F2 0.5097 0.0638 0.9849 1
F3 0.5474 0.5176 0.5676 1
```